# Ca4MoO6
Simulated powder X-ray diffraction pattern, λ = 1.5418 Å (Cu Kα). Input: a DFT-relaxed cell (PBE+U, Alexandria).
Kinematic intensities with the Lorentz-polarization factor, no thermal factor.

Principal peaks in the range 15 to 90 degrees two-theta, sorted by position:
- hkl 1 1 0, 18.59 deg, intensity 61
- hkl 0 1 2, 18.96 deg, intensity 44
- hkl 1 1 3, 30.14 deg, intensity 31
- hkl 3 0 0, 32.50 deg, intensity 100
- hkl 0 2 4, 38.47 deg, intensity 30
- hkl 2 1 4, 43.05 deg, intensity 58
- hkl 2 2 3, 44.91 deg, intensity 42
- hkl 3 3 0, 57.98 deg, intensity 20
- hkl 3 2 4, 58.54 deg, intensity 22
- hkl 6 0 0, 68.06 deg, intensity 17

Structure:
Unit cell a=9.5445 b=9.5445 c=11.3545 alpha=90.00 beta=90.00 gamma=120.00
Space group R-3c (No. 167, hexagonal axes)
One atom of each set of equivalent atoms:
Ca1 0.0000 0.0000 0.2500 (multiplicity 6)
Ca2 0.0000 0.3529 0.2500 (multiplicity 18)
Mo1 0.0000 0.0000 0.0000 (multiplicity 6)
O1 0.0324 0.1914 0.3944 (multiplicity 36)